1.
For Na3Co2O4, a structure optimized by DFT (PBE+U) gives the simulated powder XRD pattern in this record (Cu Kα X-rays).

Main lines, by angle (10° ≤ 2θ ≤ 90°):
2theta, d (Å), I_rel
18.81, 4.717, 100
20.65, 4.302, 57
35.10, 2.556, 55
40.55, 2.225, 23
48.41, 1.880, 25
50.85, 1.796, 30

Structural model:
Cell: 5.6394 10.0923 8.6042 Å, 90.00 90.00 90.00°
Fractional coordinates of all 36 atoms:
1 Na 0.0391 0.1009 0.1461
2 Na 0.0391 0.3991 0.1461
3 Na 0.1374 0.2500 0.8221
4 Na 0.3626 0.7500 0.3221
5 Na 0.4609 0.6009 0.6461
6 Na 0.4609 0.8991 0.6461
7 Na 0.5391 0.1009 0.3539
8 Na 0.5391 0.3991 0.3539
9 Na 0.6374 0.2500 0.6779
10 Na 0.8626 0.7500 0.1779
11 Na 0.9609 0.6009 0.8539
12 Na 0.9609 0.8991 0.8539
13 Co 0.0443 0.1195 0.4869
14 Co 0.0443 0.3805 0.4869
15 Co 0.4557 0.6195 0.9869
16 Co 0.4557 0.8805 0.9869
17 Co 0.5443 0.1195 0.0131
18 Co 0.5443 0.3805 0.0131
19 Co 0.9557 0.6195 0.5131
20 Co 0.9557 0.8805 0.5131
21 O 0.1255 0.7500 0.6363
22 O 0.2036 0.5322 0.3992
23 O 0.2036 0.9678 0.3992
24 O 0.2283 0.7500 0.0569
25 O 0.2717 0.2500 0.5569
26 O 0.2964 0.0322 0.8992
27 O 0.2964 0.4678 0.8992
28 O 0.3745 0.2500 0.1363
29 O 0.6255 0.7500 0.8637
30 O 0.7036 0.5322 0.1008
31 O 0.7036 0.9678 0.1008
32 O 0.7283 0.7500 0.4431
33 O 0.7717 0.2500 0.9431
34 O 0.7964 0.0322 0.6008
35 O 0.7964 0.4678 0.6008
36 O 0.8745 0.2500 0.3637

2.
For Na3Co5O10, a structure optimized by DFT (PBE+U) gives the simulated powder XRD pattern in this record (Cu Kα X-rays).

Main lines, by angle (10° ≤ 2θ ≤ 90°):
2theta, d (Å), I_rel
15.95, 5.555, 100
32.23, 2.777, 13
37.56, 2.395, 23
45.31, 2.002, 33
45.71, 1.985, 16
53.21, 1.721, 14

Structural model:
Cell: 4.9980 7.5791 11.2370 Å, 86.96 81.38 71.21°
Fractional coordinates of all 36 atoms:
1 Na 0.0000 0.0000 0.0000
2 Na 0.0796 0.7987 0.4973
3 Na 0.2884 0.4024 0.4985
4 Na 0.4799 0.0044 0.4972
5 Na 0.6023 0.7966 0.9966
6 Na 0.7785 0.3998 0.0003
7 Co 0.0025 0.8011 0.7527
8 Co 0.1082 0.5986 0.2456
9 Co 0.1956 0.4024 0.7548
10 Co 0.3008 0.2016 0.2498
11 Co 0.3976 0.0024 0.7531
12 Co 0.5041 0.7997 0.2509
13 Co 0.6033 0.6015 0.7462
14 Co 0.6980 0.4019 0.2551
15 Co 0.7994 0.2035 0.7480
16 Co 0.8966 0.0058 0.2558
17 O 0.0101 0.4068 0.3356
18 O 0.0785 0.2071 0.8436
19 O 0.0813 0.0082 0.6573
20 O 0.2201 0.7920 0.1585
21 O 0.2229 0.9920 0.3421
22 O 0.2922 0.6025 0.6638
23 O 0.3298 0.7933 0.8460
24 O 0.3976 0.4033 0.1648
25 O 0.3984 0.6039 0.3392
26 O 0.4932 0.2056 0.6623
27 O 0.5112 0.4017 0.8354
28 O 0.5845 0.2085 0.3453
29 O 0.5924 0.9975 0.1597
30 O 0.6923 0.7916 0.6520
31 O 0.7230 0.0009 0.8423
32 O 0.7962 0.6026 0.1618
33 O 0.8090 0.7990 0.3372
34 O 0.8947 0.5985 0.8401
35 O 0.8967 0.4028 0.6638
36 O 0.9860 0.2011 0.1656

3.
For Na2CoO3, a structure optimized by DFT (PBE+U) gives the simulated powder XRD pattern in this record (Cu Kα X-rays).

Main lines, by angle (10° ≤ 2θ ≤ 90°):
2theta, d (Å), I_rel
16.37, 5.414, 100
23.79, 3.740, 82
28.56, 3.126, 77
33.52, 2.673, 70
34.78, 2.579, 67
50.41, 1.810, 44

Structural model:
Cell: 6.2514 6.2514 5.1588 Å, 90.00 90.00 60.32°
Fractional coordinates of all 12 atoms:
1 Na 0.0081 0.6665 0.5000
2 Na 0.3335 0.9919 0.5000
3 Na 0.6665 0.0081 0.0000
4 Na 0.9919 0.3335 0.0000
5 Co 0.3359 0.6641 0.0321
6 Co 0.6641 0.3359 0.5321
7 O 0.0582 0.6679 0.9650
8 O 0.3321 0.9418 0.9650
9 O 0.4015 0.5985 0.3772
10 O 0.5985 0.4015 0.8772
11 O 0.6679 0.0582 0.4650
12 O 0.9418 0.3321 0.4650

4.
For Na2CoO3, a structure optimized by DFT (PBE+U) gives the simulated powder XRD pattern in this record (Cu Kα X-rays).

Main lines, by angle (10° ≤ 2θ ≤ 90°):
2theta, d (Å), I_rel
14.60, 6.067, 51
16.14, 5.493, 80
17.10, 5.186, 100
20.50, 4.333, 87
23.68, 3.757, 66
39.77, 2.266, 76

Structural model:
Cell: 5.4209 5.9883 6.6058 Å, 111.78 95.49 96.24°
Fractional coordinates of all 12 atoms:
1 Na 0.0611 0.2469 0.4276
2 Na 0.2163 0.2226 0.9837
3 Na 0.7837 0.7774 0.0163
4 Na 0.9389 0.7531 0.5724
5 Co 0.3499 0.8344 0.3326
6 Co 0.6501 0.1656 0.6674
7 O 0.2105 0.5505 0.3131
8 O 0.2135 0.9240 0.1342
9 O 0.3062 0.0720 0.6205
10 O 0.6938 0.9280 0.3795
11 O 0.7865 0.0760 0.8658
12 O 0.7895 0.4495 0.6869

5.
For Na2CoO3, a structure optimized by DFT (PBE+U) gives the simulated powder XRD pattern in this record (Cu Kα X-rays).

Main lines, by angle (10° ≤ 2θ ≤ 90°):
2theta, d (Å), I_rel
16.49, 5.377, 100
33.33, 2.688, 28
35.37, 2.537, 21
40.15, 2.246, 78
40.39, 2.233, 74
41.34, 2.184, 66

Structural model:
Cell: 5.3676 5.6835 9.1398 Å, 73.20 89.47 81.43°
Fractional coordinates of all 24 atoms:
1 Na 0.0000 0.0000 0.0000
2 Na 0.0069 0.0085 0.3294
3 Na 0.0172 0.0123 0.6545
4 Na 0.2593 0.5063 0.5761
5 Na 0.4947 0.0014 0.4976
6 Na 0.5044 0.0067 0.8299
7 Na 0.5225 0.0106 0.1575
8 Na 0.7594 0.5079 0.0788
9 Co 0.2511 0.5065 0.9065
10 Co 0.2680 0.5137 0.2494
11 Co 0.7570 0.5099 0.4066
12 Co 0.7644 0.5005 0.7413
13 O 0.1028 0.3073 0.4225
14 O 0.1177 0.3025 0.8028
15 O 0.1746 0.3073 0.0902
16 O 0.3447 0.7031 0.0417
17 O 0.3881 0.7076 0.7415
18 O 0.4238 0.7137 0.3599
19 O 0.6088 0.3120 0.9178
20 O 0.6227 0.3076 0.3102
21 O 0.6753 0.3109 0.6138
22 O 0.8408 0.6995 0.5488
23 O 0.8939 0.7146 0.2378
24 O 0.9168 0.6976 0.8515

6.
For NaCo3O6, a structure optimized by DFT (PBE+U) gives the simulated powder XRD pattern in this record (Cu Kα X-rays).

Main lines, by angle (10° ≤ 2θ ≤ 90°):
2theta, d (Å), I_rel
24.21, 3.676, 74
33.14, 2.703, 100
35.82, 2.507, 93
49.60, 1.838, 43
54.08, 1.696, 72
64.38, 1.447, 38

Structural model:
Cell: 5.4398 5.4398 5.4398 Å, 54.88 54.88 54.88°
Fractional coordinates of all 10 atoms:
1 Na 0.0000 0.0000 0.0000
2 Co 0.2156 0.2156 0.2156
3 Co 0.5350 0.5350 0.5350
4 Co 0.7357 0.7357 0.7357
5 O 0.1257 0.4619 0.8165
6 O 0.3690 0.9434 0.5458
7 O 0.4619 0.8165 0.1257
8 O 0.5458 0.3690 0.9434
9 O 0.8165 0.1257 0.4619
10 O 0.9434 0.5458 0.3690

7.
For Na2CoO3, a structure optimized by DFT (PBE+U) gives the simulated powder XRD pattern in this record (Cu Kα X-rays).

Main lines, by angle (10° ≤ 2θ ≤ 90°):
2theta, d (Å), I_rel
17.72, 5.004, 75
23.66, 3.760, 100
30.20, 2.960, 35
34.40, 2.607, 29
36.35, 2.472, 72
38.96, 2.312, 91

Structural model:
Cell: 4.9558 10.0084 6.4296 Å, 90.00 94.07 90.00°
Fractional coordinates of all 24 atoms:
1 Na 0.2266 0.1000 0.3852
2 Na 0.2266 0.4000 0.8852
3 Na 0.2428 0.7299 0.8578
4 Na 0.2428 0.7701 0.3578
5 Na 0.7572 0.2299 0.6422
6 Na 0.7572 0.2701 0.1422
7 Na 0.7734 0.6000 0.1148
8 Na 0.7734 0.9000 0.6148
9 Co 0.3340 0.0347 0.8413
10 Co 0.3340 0.4653 0.3413
11 Co 0.6660 0.5347 0.6587
12 Co 0.6660 0.9653 0.1587
13 O 0.2419 0.1879 0.7364
14 O 0.2419 0.3121 0.2364
15 O 0.2643 0.5833 0.1421
16 O 0.2643 0.9167 0.6421
17 O 0.2837 0.5499 0.5921
18 O 0.2837 0.9501 0.0921
19 O 0.7163 0.0499 0.9079
20 O 0.7163 0.4501 0.4079
21 O 0.7357 0.0833 0.3579
22 O 0.7357 0.4167 0.8579
23 O 0.7581 0.6879 0.7636
24 O 0.7581 0.8121 0.2636

8.
For Na2CoO3, a structure optimized by DFT (PBE+U) gives the simulated powder XRD pattern in this record (Cu Kα X-rays).

Main lines, by angle (10° ≤ 2θ ≤ 90°):
2theta, d (Å), I_rel
18.00, 4.928, 82
35.00, 2.563, 36
36.48, 2.463, 29
41.15, 2.193, 57
41.69, 2.166, 100
60.02, 1.541, 58

Structural model:
Cell: 9.9491 9.4718 5.4058 Å, 78.76 69.03 32.20°
Fractional coordinates of all 24 atoms:
1 Na 0.0460 0.0460 0.2040
2 Na 0.1177 0.1177 0.6323
3 Na 0.2040 0.2040 0.0460
4 Na 0.3677 0.3677 0.8823
5 Na 0.6323 0.6323 0.1177
6 Na 0.7960 0.7960 0.9540
7 Na 0.8823 0.8823 0.3677
8 Na 0.9540 0.9540 0.7960
9 Co 0.2874 0.2874 0.4626
10 Co 0.4626 0.4626 0.2874
11 Co 0.5374 0.5374 0.7126
12 Co 0.7126 0.7126 0.5374
13 O 0.0252 0.5320 0.2690
14 O 0.1831 0.5669 0.5669
15 O 0.2690 0.6737 0.0252
16 O 0.3263 0.7310 0.4680
17 O 0.4331 0.8169 0.8169
18 O 0.4680 0.9748 0.3263
19 O 0.5320 0.0252 0.6737
20 O 0.5669 0.1831 0.1831
21 O 0.6737 0.2690 0.5320
22 O 0.7310 0.3263 0.9748
23 O 0.8169 0.4331 0.4331
24 O 0.9748 0.4680 0.7310

9.
For Na3Co4O8, a structure optimized by DFT (PBE+U) gives the simulated powder XRD pattern in this record (Cu Kα X-rays).

Main lines, by angle (10° ≤ 2θ ≤ 90°):
2theta, d (Å), I_rel
16.39, 5.409, 100
33.13, 2.704, 17
37.00, 2.430, 18
41.85, 2.159, 61
42.23, 2.140, 29
58.18, 1.586, 16

Structural model:
Cell: 6.3832 6.3832 5.0459 Å, 105.15 105.15 55.07°
Fractional coordinates of all 15 atoms:
1 Na 0.0000 0.0000 0.0000
2 Na 0.2654 0.7346 0.5000
3 Na 0.7346 0.2654 0.5000
4 Co 0.0000 0.5000 0.0000
5 Co 0.2529 0.2529 0.5050
6 Co 0.5000 0.0000 0.0000
7 Co 0.7471 0.7471 0.4950
8 O 0.0853 0.6047 0.7301
9 O 0.1607 0.1607 0.7765
10 O 0.3449 0.3449 0.2454
11 O 0.3953 0.9147 0.2699
12 O 0.6047 0.0853 0.7301
13 O 0.6551 0.6551 0.7546
14 O 0.8393 0.8393 0.2235
15 O 0.9147 0.3953 0.2699

10.
For Na4Co2O5, a structure optimized by DFT (PBE+U) gives the simulated powder XRD pattern in this record (Cu Kα X-rays).

Main lines, by angle (10° ≤ 2θ ≤ 90°):
2theta, d (Å), I_rel
15.64, 5.665, 63
21.88, 4.062, 45
25.66, 3.472, 63
35.19, 2.550, 100
39.42, 2.286, 71
42.97, 2.105, 61

Structural model:
Cell: 9.0955 5.7482 12.6834 Å, 90.00 116.71 90.00°
Fractional coordinates of all 44 atoms:
1 Na 0.1092 0.1198 0.1308
2 Na 0.1092 0.3802 0.6308
3 Na 0.2053 0.5863 0.0405
4 Na 0.2053 0.9137 0.5405
5 Na 0.3009 0.0711 0.9621
6 Na 0.3009 0.4289 0.4621
7 Na 0.3749 0.6278 0.8599
8 Na 0.3749 0.8722 0.3599
9 Na 0.6251 0.1278 0.6401
10 Na 0.6251 0.3722 0.1401
11 Na 0.6991 0.5711 0.5379
12 Na 0.6991 0.9289 0.0379
13 Na 0.7947 0.0863 0.4595
14 Na 0.7947 0.4137 0.9595
15 Na 0.8908 0.6198 0.3692
16 Na 0.8908 0.8802 0.8692
17 Co 0.0361 0.6126 0.1936
18 Co 0.0361 0.8874 0.6936
19 Co 0.4527 0.1601 0.7987
20 Co 0.4527 0.3399 0.2987
21 Co 0.5473 0.6601 0.7013
22 Co 0.5473 0.8399 0.2013
23 Co 0.9639 0.1126 0.3064
24 Co 0.9639 0.3874 0.8064
25 O 0.0482 0.2315 0.9429
26 O 0.0482 0.2685 0.4429
27 O 0.0868 0.6555 0.8196
28 O 0.0868 0.8445 0.3196
29 O 0.2548 0.5105 0.2428
30 O 0.2548 0.9895 0.7428
31 O 0.3937 0.0861 0.1937
32 O 0.3937 0.4139 0.6937
33 O 0.4617 0.7389 0.0519
34 O 0.4617 0.7611 0.5519
35 O 0.5383 0.2389 0.4481
36 O 0.5383 0.2611 0.9481
37 O 0.6063 0.5861 0.3063
38 O 0.6063 0.9139 0.8063
39 O 0.7452 0.0105 0.2572
40 O 0.7452 0.4895 0.7572
41 O 0.9132 0.1555 0.6804
42 O 0.9132 0.3445 0.1804
43 O 0.9518 0.7315 0.5571
44 O 0.9518 0.7685 0.0571